(1)
Simulated powder XRD pattern of Nb2VB2 for Cu Ka, from a crystal structure in Alexandria, relaxed with GGA-PBE.
No peak broadening, texture or thermal motion is included.

Principal peaks in the range 5 to 70 degrees two-theta, in order of rising 2θ:
| 2θ/deg | I_rel |
| --- | --- |
| 27.32 | 34 |
| 33.17 | 81 |
| 34.59 | 27 |
| 40.71 | 94 |
| 42.33 | 23 |
| 43.49 | 100 |
| 47.62 | 33 |
| 56.38 | 18 |
| 63.52 | 24 |
| 67.00 | 21 |

Structural model:
Cell: 6.0392 6.0392 3.2640 Å, 90.00 90.00 90.00°
Sites, in units of the cell vectors:
Nb  0.1807  0.3193  0.0000
Nb  0.3193  0.8193  0.0000
Nb  0.6807  0.1807  0.0000
Nb  0.8193  0.6807  0.0000
V  0.0000  0.0000  0.5000
V  0.5000  0.5000  0.5000
B  0.1081  0.6081  0.5000
B  0.3919  0.1081  0.5000
B  0.6081  0.8919  0.5000
B  0.8919  0.3919  0.5000



(2)
Simulated powder XRD pattern of NbV2B4 for Cu Ka, from a crystal structure in Alexandria, relaxed with GGA-PBE.
No peak broadening, texture or thermal motion is included.

Principal peaks in the range 5 to 70 degrees two-theta, in order of rising 2θ:
| 2θ/deg | I_rel |
| --- | --- |
| 13.16 | 15 |
| 26.50 | 19 |
| 28.98 | 55 |
| 35.66 | 79 |
| 40.21 | 25 |
| 43.40 | 100 |
| 44.18 | 60 |
| 49.62 | 23 |
| 56.64 | 19 |
| 58.31 | 15 |

Structural model:
Cell: 7.0771 7.0771 7.0771 Å, 155.18 154.16 36.13°
Sites, in units of the cell vectors:
Nb  0.0000  0.0000  0.0000
V  0.1884  0.6884  0.5000
V  0.8116  0.3116  0.5000
B  0.3595  0.8595  0.5000
B  0.4303  0.4303  0.0000
B  0.5697  0.5697  0.0000
B  0.6405  0.1405  0.5000



(3)
Simulated powder XRD pattern of NbVB4 for Cu Ka, from a crystal structure in Alexandria, relaxed with GGA-PBE.
No peak broadening, texture or thermal motion is included.

Principal peaks in the range 5 to 70 degrees two-theta, in order of rising 2θ:
| 2θ/deg | I_rel |
| --- | --- |
| 27.86 | 51 |
| 28.06 | 23 |
| 31.52 | 80 |
| 35.12 | 18 |
| 38.86 | 17 |
| 39.95 | 26 |
| 42.56 | 100 |
| 45.41 | 25 |
| 48.49 | 26 |
| 67.11 | 17 |

Structural model:
Cell: 5.8609 11.3566 3.2028 Å, 90.00 90.00 90.00°
Sites, in units of the cell vectors:
Nb  0.1299  0.1494  0.0000
Nb  0.3701  0.6494  0.0000
Nb  0.6299  0.3506  0.0000
Nb  0.8701  0.8506  0.0000
V  0.1355  0.4120  0.0000
V  0.3645  0.9120  0.0000
V  0.6355  0.0880  0.0000
V  0.8645  0.5880  0.0000
B  0.0215  0.6960  0.5000
B  0.1192  0.5489  0.5000
B  0.1276  0.9672  0.5000
B  0.2029  0.8099  0.5000
B  0.2971  0.3099  0.5000
B  0.3724  0.4672  0.5000
B  0.3808  0.0489  0.5000
B  0.4785  0.1960  0.5000
B  0.5215  0.8040  0.5000
B  0.6192  0.9511  0.5000
B  0.6276  0.5328  0.5000
B  0.7029  0.6901  0.5000
B  0.7971  0.1901  0.5000
B  0.8724  0.0328  0.5000
B  0.8808  0.4511  0.5000
B  0.9785  0.3040  0.5000



(4)
Simulated powder XRD pattern of NbV4B4 for Cu Ka, from a crystal structure in Alexandria, relaxed with GGA-PBE.
No peak broadening, texture or thermal motion is included.

Principal peaks in the range 5 to 70 degrees two-theta, in order of rising 2θ:
| 2θ/deg | I_rel |
| --- | --- |
| 24.47 | 58 |
| 27.69 | 17 |
| 35.75 | 100 |
| 41.11 | 82 |
| 42.47 | 27 |
| 44.39 | 30 |
| 46.38 | 13 |
| 46.50 | 13 |
| 52.10 | 24 |
| 58.84 | 17 |

Structural model:
Cell: 6.9441 6.9441 4.2698 Å, 90.00 90.00 90.00°
Sites, in units of the cell vectors:
Nb  0.2500  0.2500  0.2500
Nb  0.7500  0.7500  0.7500
V  0.1050  0.6334  0.1196
V  0.1334  0.8950  0.6196
V  0.3666  0.6050  0.6196
V  0.3950  0.8666  0.1196
V  0.6050  0.1334  0.8804
V  0.6334  0.3950  0.3804
V  0.8666  0.1050  0.3804
V  0.8950  0.3666  0.8804
B  0.0472  0.5895  0.6182
B  0.0895  0.9528  0.1182
B  0.4105  0.5472  0.1182
B  0.4528  0.9105  0.6182
B  0.5472  0.0895  0.3818
B  0.5895  0.4528  0.8818
B  0.9105  0.0472  0.8818
B  0.9528  0.4105  0.3818



(5)
Simulated powder XRD pattern of NbB2W for Cu Ka, from a crystal structure in Alexandria, relaxed with GGA-PBE.
No peak broadening, texture or thermal motion is included.

Principal peaks in the range 5 to 70 degrees two-theta, in order of rising 2θ:
| 2θ/deg | I_rel |
| --- | --- |
| 24.15 | 43 |
| 29.48 | 40 |
| 34.50 | 64 |
| 35.38 | 43 |
| 37.65 | 100 |
| 41.43 | 65 |
| 41.66 | 75 |
| 49.20 | 31 |
| 51.21 | 32 |
| 68.45 | 37 |

Structural model:
Cell: 3.1382 4.6433 6.0591 Å, 90.00 90.00 90.00°
Sites, in units of the cell vectors:
Nb  0.0000  0.1285  0.0000
Nb  0.0000  0.8715  0.5000
B  0.0000  0.3570  0.6399
B  0.0000  0.6430  0.1399
B  0.5000  0.1577  0.7059
B  0.5000  0.8423  0.2059
W  0.5000  0.3699  0.3512
W  0.5000  0.6301  0.8512



(6)
Simulated powder XRD pattern of Nb4ZnB for Cu Ka, from a crystal structure in Alexandria, relaxed with GGA-PBE.
No peak broadening, texture or thermal motion is included.

Principal peaks in the range 5 to 70 degrees two-theta, in order of rising 2θ:
| 2θ/deg | I_rel |
| --- | --- |
| 33.10 | 18 |
| 35.27 | 18 |
| 37.64 | 100 |
| 38.37 | 8 |
| 41.27 | 16 |
| 46.64 | 18 |
| 47.51 | 22 |
| 50.98 | 11 |
| 64.86 | 19 |
| 66.28 | 8 |

Structural model:
Cell: 6.0515 6.0515 5.0898 Å, 90.00 90.00 90.00°
Sites, in units of the cell vectors:
Nb  0.1349  0.3166  0.0000
Nb  0.1349  0.6834  0.5000
Nb  0.3166  0.1349  0.5000
Nb  0.3166  0.8651  0.0000
Nb  0.6834  0.1349  0.0000
Nb  0.6834  0.8651  0.5000
Nb  0.8651  0.3166  0.5000
Nb  0.8651  0.6834  0.0000
Zn  0.5000  0.5000  0.2500
Zn  0.5000  0.5000  0.7500
B  0.0000  0.0000  0.2500
B  0.0000  0.0000  0.7500



(7)
Simulated powder XRD pattern of NdB6 for Cu Ka, from a crystal structure in Alexandria, relaxed with GGA-PBE.
No peak broadening, texture or thermal motion is included.

Principal peaks in the range 5 to 70 degrees two-theta, in order of rising 2θ:
| 2θ/deg | I_rel |
| --- | --- |
| 21.49 | 65 |
| 30.57 | 100 |
| 37.67 | 42 |
| 43.78 | 21 |
| 49.27 | 50 |
| 54.34 | 27 |
| 63.64 | 10 |
| 68.00 | 28 |

Structural model:
Cell: 4.1357 4.1357 4.1357 Å, 90.00 90.00 90.00°
Sites, in units of the cell vectors:
Nd  0.0000  0.0000  0.0000
B  0.1998  0.5000  0.5000
B  0.5000  0.1998  0.5000
B  0.5000  0.5000  0.1998
B  0.5000  0.5000  0.8002
B  0.5000  0.8002  0.5000
B  0.8002  0.5000  0.5000



(8)
Simulated powder XRD pattern of NdB2 for Cu Ka, from a crystal structure in Alexandria, relaxed with GGA-PBE.
No peak broadening, texture or thermal motion is included.

Principal peaks in the range 5 to 70 degrees two-theta, in order of rising 2θ:
| 2θ/deg | I_rel |
| --- | --- |
| 23.40 | 100 |
| 29.79 | 35 |
| 32.64 | 35 |
| 33.55 | 52 |
| 34.00 | 31 |
| 37.58 | 20 |
| 42.46 | 29 |
| 44.77 | 23 |
| 47.84 | 23 |
| 53.01 | 18 |

Structural model:
Cell: 3.9069 3.9069 3.1631 Å, 103.09 103.09 89.22°
Sites, in units of the cell vectors:
Nd  0.0000  0.0000  0.0000
B  0.4714  0.4714  0.7338
B  0.5286  0.5286  0.2662



(9)
Simulated powder XRD pattern of Nd3NiB2Pt9 for Cu Ka, from a crystal structure in Alexandria, relaxed with GGA-PBE.
No peak broadening, texture or thermal motion is included.

Principal peaks in the range 5 to 70 degrees two-theta, in order of rising 2θ:
| 2θ/deg | I_rel |
| --- | --- |
| 28.97 | 33 |
| 34.15 | 14 |
| 36.63 | 10 |
| 37.16 | 100 |
| 38.97 | 11 |
| 40.96 | 78 |
| 46.71 | 9 |
| 53.96 | 12 |
| 62.41 | 14 |
| 64.38 | 25 |

Structural model:
Cell: 5.7886 5.7886 9.2451 Å, 90.00 90.00 120.00°
Sites, in units of the cell vectors:
Nd  0.0000  0.0000  0.0000
Nd  0.3333  0.6667  0.5985
Nd  0.6667  0.3333  0.4015
Ni  0.0000  0.0000  0.5000
B  0.3333  0.6667  0.1515
B  0.6667  0.3333  0.8485
Pt  0.0000  0.5000  0.0000
Pt  0.1629  0.3257  0.2867
Pt  0.1629  0.8371  0.2867
Pt  0.3257  0.1629  0.7133
Pt  0.5000  0.0000  0.0000
Pt  0.5000  0.5000  0.0000
Pt  0.6743  0.8371  0.2867
Pt  0.8371  0.1629  0.7133
Pt  0.8371  0.6743  0.7133



(10)
Simulated powder XRD pattern of NdB4Pd3O12 for Cu Ka, from a crystal structure in Alexandria, relaxed with GGA-PBE.
No peak broadening, texture or thermal motion is included.

Principal peaks in the range 5 to 70 degrees two-theta, in order of rising 2θ:
| 2θ/deg | I_rel |
| --- | --- |
| 18.08 | 18 |
| 23.67 | 96 |
| 29.95 | 19 |
| 30.55 | 100 |
| 36.64 | 27 |
| 44.09 | 17 |
| 44.52 | 23 |
| 48.42 | 11 |
| 50.02 | 23 |
| 50.33 | 31 |

Structural model:
Cell: 6.2711 6.2711 6.2711 Å, 102.92 102.92 102.92°
Sites, in units of the cell vectors:
Nd  0.0000  0.0000  0.0000
B  0.0502  0.5000  0.9498
B  0.5000  0.5000  0.5000
B  0.5000  0.9498  0.0502
B  0.9498  0.0502  0.5000
Pd  0.0000  0.5463  0.4537
Pd  0.4537  0.0000  0.5463
Pd  0.5463  0.4537  0.0000
O  0.0261  0.6323  0.8046
O  0.0938  0.9062  0.5000
O  0.1954  0.3677  0.9739
O  0.3589  0.6411  0.5000
O  0.3677  0.9739  0.1954
O  0.5000  0.0938  0.9062
O  0.5000  0.3589  0.6411
O  0.6323  0.8046  0.0261
O  0.6411  0.5000  0.3589
O  0.8046  0.0261  0.6323
O  0.9062  0.5000  0.0938
O  0.9739  0.1954  0.3677



(11)
Simulated powder XRD pattern of NdBRhO5 for Cu Ka, from a crystal structure in Alexandria, relaxed with GGA-PBE.
No peak broadening, texture or thermal motion is included.

Principal peaks in the range 5 to 70 degrees two-theta, in order of rising 2θ:
| 2θ/deg | I_rel |
| --- | --- |
| 19.14 | 54 |
| 24.66 | 45 |
| 28.49 | 100 |
| 30.35 | 75 |
| 34.09 | 82 |
| 35.04 | 33 |
| 38.57 | 25 |
| 45.42 | 29 |
| 50.56 | 27 |
| 53.46 | 32 |

Structural model:
Cell: 5.4368 5.4368 6.7974 Å, 102.79 102.79 108.36°
Sites, in units of the cell vectors:
Nd  0.1452  0.8548  0.7500
Nd  0.8548  0.1452  0.2500
B  0.1928  0.8072  0.2500
B  0.8072  0.1928  0.7500
Rh  0.5000  0.5000  0.0000
Rh  0.5000  0.5000  0.5000
O  0.0801  0.2500  0.9194
O  0.1726  0.6085  0.3680
O  0.2500  0.0801  0.4194
O  0.3915  0.8274  0.1320
O  0.4113  0.5887  0.7500
O  0.5887  0.4113  0.2500
O  0.6085  0.1726  0.8680
O  0.7500  0.9199  0.5806
O  0.8274  0.3915  0.6320
O  0.9199  0.7500  0.0806



(12)
Simulated powder XRD pattern of NdSiBO5 for Cu Ka, from a crystal structure in Alexandria, relaxed with GGA-PBE.
No peak broadening, texture or thermal motion is included.

Principal peaks in the range 5 to 70 degrees two-theta, in order of rising 2θ:
| 2θ/deg | I_rel |
| --- | --- |
| 19.97 | 100 |
| 25.88 | 82 |
| 29.97 | 62 |
| 30.72 | 95 |
| 37.55 | 18 |
| 40.58 | 39 |
| 42.33 | 57 |
| 48.77 | 83 |
| 53.69 | 18 |
| 55.57 | 26 |

Structural model:
Cell: 6.8848 6.8848 6.6701 Å, 90.00 90.00 120.00°
Sites, in units of the cell vectors:
Nd  0.0003  0.4168  0.0000
Nd  0.4165  0.9997  0.6667
Nd  0.5832  0.5835  0.3333
Si  0.0014  0.4185  0.4981
Si  0.4171  0.9986  0.1647
Si  0.5815  0.5829  0.8314
B  0.1162  0.0997  0.3642
B  0.9003  0.0165  0.6975
B  0.9835  0.8838  0.0309
O  0.0689  0.0148  0.5679
O  0.1391  0.3310  0.3488
O  0.1475  0.6055  0.6652
O  0.1919  0.8609  0.0155
O  0.3516  0.1557  0.3104
O  0.3945  0.5420  0.9985
O  0.4580  0.8525  0.3319
O  0.5268  0.3905  0.6670
O  0.6095  0.1363  0.0004
O  0.6690  0.8081  0.6821
O  0.8041  0.6484  0.9770
O  0.8443  0.1959  0.6437
O  0.8637  0.4732  0.3337
O  0.9459  0.9311  0.2346
O  0.9852  0.0541  0.9013